# 1
# V4OF12
Calculated PXRD pattern, CuKα. Input: the PBE+U geometry in the Materials Project.
No peak broadening, texture or thermal motion is included.

Peak list (12 most intense, 10° ≤ 2θ ≤ 90°, sorted by position)
2θ = 11.43°, I = 84, (0 1 0); 2θ = 14.15°, I = 64, (0 1 1); 2θ = 17.04°, I = 30, (0 1 -1); 2θ = 21.43°, I = 42, (0 0 2); 2θ = 22.98°, I = 69, (0 2 0); 2θ = 23.31°, I = 100, (1 0 0); 2θ = 23.52°, I = 75, (1 1 0); 2θ = 26.17°, I = 46, (0 1 -2); 2θ = 28.52°, I = 45, (0 2 2); 2θ = 43.37°, I = 48, (0 3 3); 2θ = 43.58°, I = 32, (0 2 -3); 2θ = 46.34°, I = 52, (2 1 0)

Structural model:
```
data_V4OF12
_symmetry_space_group_name_H-M 'P 1'
_symmetry_Int_Tables_number 1
_cell_length_a 3.921
_cell_length_b 8.089
_cell_length_c 8.438
_cell_angle_alpha 79.40
_cell_angle_beta 88.53
_cell_angle_gamma 76.78
loop_
_symmetry_equiv_pos_as_xyz
'x,y,z'
loop_
_atom_site_label
_atom_site_fract_x
_atom_site_fract_y
_atom_site_fract_z
V1 0.000 0.000 0.000
V2 0.028 0.010 0.599
V3 0.175 0.637 0.342
V4 0.205 0.597 0.975
O1 0.105 0.784 0.119
F1 0.095 0.832 0.446
F2 0.108 0.817 0.814
F3 0.240 0.474 0.515
F4 0.261 0.465 0.192
F5 0.287 0.438 0.852
F6 0.499 0.004 0.985
F7 0.541 0.981 0.616
F8 0.672 0.642 0.334
F9 0.700 0.608 0.970
F10 0.909 0.154 0.127
F11 0.948 0.139 0.789
F12 0.972 0.195 0.441
```


# 2
# V6O7F5
Calculated PXRD pattern, CuKα. Input: the PBE+U geometry in the Materials Project.
No peak broadening, texture or thermal motion is included.

Peak list (12 most intense, 10° ≤ 2θ ≤ 90°, sorted by position)
2θ = 26.50°, I = 98, (1 1 2); 2θ = 27.43°, I = 100, (1 -1 0); 2θ = 34.47°, I = 26, (1 0 -2); 2θ = 34.62°, I = 25, (0 1 -2); 2θ = 34.77°, I = 47, (2 1 0); 2θ = 52.09°, I = 17, (1 0 4); 2θ = 52.48°, I = 29, (3 2 2); 2θ = 53.39°, I = 27, (1 -2 2); 2θ = 54.57°, I = 19, (2 2 4); 2θ = 56.61°, I = 17, (2 -2 0); 2θ = 59.48°, I = 19, (2 2 -2); 2θ = 67.28°, I = 21, (2 -1 4)

Structural model:
```
data_V6O7F5
_symmetry_space_group_name_H-M 'P 1'
_symmetry_Int_Tables_number 1
_cell_length_a 5.594
_cell_length_b 5.602
_cell_length_c 7.438
_cell_angle_alpha 71.78
_cell_angle_beta 72.23
_cell_angle_gamma 71.01
loop_
_symmetry_equiv_pos_as_xyz
'x,y,z'
loop_
_atom_site_label
_atom_site_fract_x
_atom_site_fract_y
_atom_site_fract_z
V1 0.000 0.000 0.000
V2 0.001 0.952 0.498
V3 0.309 0.326 0.679
V4 0.338 0.352 0.178
V5 0.658 0.664 0.835
V6 0.663 0.686 0.321
O1 0.023 0.640 0.173
O2 0.311 0.680 0.501
O3 0.358 0.970 0.837
O4 0.563 0.568 0.142
O5 0.628 0.031 0.170
O6 0.760 0.755 0.534
O7 0.950 0.360 0.840
F1 0.103 0.104 0.204
F2 0.217 0.218 0.475
F3 0.418 0.432 0.876
F4 0.702 0.286 0.504
F5 0.901 0.891 0.797
```


# 3
# VOF3
Calculated PXRD pattern, CuKα. Input: the PBE+U geometry in the Materials Project.
No peak broadening, texture or thermal motion is included.

Peak list (12 most intense, 10° ≤ 2θ ≤ 90°, sorted by position)
2θ = 19.16°, I = 44, (1 0 1); 2θ = 23.47°, I = 33, (1 1 0); 2θ = 25.47°, I = 100, (1 0 2); 2θ = 33.64°, I = 7, (1 0 3); 2θ = 34.87°, I = 15, (2 0 1); 2θ = 38.87°, I = 24, (2 0 2); 2θ = 42.52°, I = 12, (1 2 2); 2θ = 48.16°, I = 28, (2 1 3); 2θ = 55.10°, I = 15, (3 1 1); 2θ = 55.32°, I = 15, (1 2 4); 2θ = 59.90°, I = 7, (3 0 3); 2θ = 63.71°, I = 8, (2 1 5)

Structural model:
```
data_VOF3
_symmetry_space_group_name_H-M 'P 41'
_symmetry_Int_Tables_number 76
_cell_length_a 5.360
_cell_length_b 5.360
_cell_length_c 9.212
_cell_angle_alpha 90.00
_cell_angle_beta 90.00
_cell_angle_gamma 90.00
loop_
_symmetry_equiv_pos_as_xyz
'x,y,z'
'-y,x,z+1/4'
'-x,-y,z+1/2'
'y,-x,z+3/4'
loop_
_atom_site_label
_atom_site_fract_x
_atom_site_fract_y
_atom_site_fract_z
V1 0.079 0.610 0.000
O1 0.172 0.425 0.588
F1 0.069 0.186 0.342
F2 0.074 0.354 0.879
F3 0.297 0.448 0.121
```


# 4
# V2OF5
Calculated PXRD pattern, CuKα. Input: the PBE+U geometry in the Materials Project.
No peak broadening, texture or thermal motion is included.

Peak list (12 most intense, 10° ≤ 2θ ≤ 90°, sorted by position)
2θ = 20.67°, I = 74, (0 1 -2); 2θ = 20.85°, I = 44, (0 2 -1); 2θ = 28.15°, I = 36, (-1 1 1); 2θ = 28.36°, I = 100, (1 1 -2); 2θ = 28.45°, I = 42, (1 1 1); 2θ = 28.59°, I = 29, (1 2 -1); 2θ = 41.26°, I = 29, (1 0 3); 2θ = 41.60°, I = 28, (1 3 -3); 2θ = 46.68°, I = 21, (1 -2 4); 2θ = 53.89°, I = 15, (2 0 -3); 2θ = 54.31°, I = 28, (2 -3 3); 2θ = 54.55°, I = 27, (2 3 0)

Structural model:
```
data_V2OF5
_symmetry_space_group_name_H-M 'P 1'
_symmetry_Int_Tables_number 1
_cell_length_a 4.630
_cell_length_b 8.521
_cell_length_c 8.581
_cell_angle_alpha 119.49
_cell_angle_beta 90.14
_cell_angle_gamma 90.46
loop_
_symmetry_equiv_pos_as_xyz
'x,y,z'
loop_
_atom_site_label
_atom_site_fract_x
_atom_site_fract_y
_atom_site_fract_z
V1 0.000 0.000 0.000
V2 0.002 0.331 0.674
V3 0.466 0.971 0.643
V4 0.476 0.306 0.326
V5 0.481 0.647 0.990
V6 0.988 0.650 0.332
O1 0.216 0.183 0.112
O2 0.221 0.514 0.781
O3 0.251 0.862 0.461
F1 0.225 0.860 0.089
F2 0.228 0.212 0.450
F3 0.230 0.521 0.426
F4 0.231 0.191 0.761
F5 0.235 0.882 0.782
F6 0.237 0.552 0.119
F7 0.724 0.064 0.869
F8 0.725 0.429 0.236
F9 0.729 0.098 0.212
F10 0.729 0.431 0.880
F11 0.732 0.403 0.550
F12 0.736 0.777 0.910
F13 0.737 0.761 0.543
F14 0.738 0.740 0.209
F15 0.743 0.103 0.579
```


# 5
# V3O7F
Calculated PXRD pattern, CuKα. Input: the PBE+U geometry in the Materials Project.
No peak broadening, texture or thermal motion is included.

Peak list (12 most intense, 10° ≤ 2θ ≤ 90°, sorted by position)
2θ = 21.38°, I = 60, (2 2 0); 2θ = 25.32°, I = 100, (1 0 1); 2θ = 29.39°, I = 32, (2 3 0); 2θ = 29.74°, I = 17, (4 2 0); 2θ = 30.47°, I = 16, (3 0 1); 2θ = 35.52°, I = 11, (3 2 1); 2θ = 40.22°, I = 9, (6 2 0); 2θ = 50.51°, I = 18, (0 0 2); 2θ = 51.92°, I = 19, (4 5 0); 2θ = 52.81°, I = 15, (7 2 1); 2θ = 61.40°, I = 11, (5 5 1); 2θ = 75.36°, I = 9, (4 5 2)

Structural model:
```
data_V3O7F
_symmetry_space_group_name_H-M 'P n m a'
_symmetry_Int_Tables_number 62
_cell_length_a 15.066
_cell_length_b 9.963
_cell_length_c 3.614
_cell_angle_alpha 90.00
_cell_angle_beta 90.00
_cell_angle_gamma 90.00
loop_
_symmetry_equiv_pos_as_xyz
'x,y,z'
'-x,-y,-z'
'-x+1/2,-y,z+1/2'
'x+1/2,y,-z+1/2'
'x+1/2,-y+1/2,-z+1/2'
'-x+1/2,y+1/2,z+1/2'
'-x,y+1/2,-z'
'x,-y+1/2,z'
loop_
_atom_site_label
_atom_site_fract_x
_atom_site_fract_y
_atom_site_fract_z
V1 0.048 0.250 0.054
V2 0.165 0.558 0.005
O1 0.028 0.250 0.512
O2 0.064 0.624 0.999
O3 0.123 0.115 0.010
O4 0.200 0.549 0.505
F1 0.217 0.750 0.005
```


# 6
# V2O3F
Calculated PXRD pattern, CuKα. Input: the PBE+U geometry in the Materials Project.
No peak broadening, texture or thermal motion is included.

Peak list (12 most intense, 10° ≤ 2θ ≤ 90°, sorted by position)
2θ = 25.66°, I = 93, (0 0 2); 2θ = 27.83°, I = 100, (0 2 0); 2θ = 35.38°, I = 90, (5 1 1); 2θ = 39.62°, I = 28, (5 0 2); 2θ = 41.13°, I = 18, (5 2 0); 2θ = 51.82°, I = 48, (5 1 3); 2θ = 52.73°, I = 13, (0 0 4); 2θ = 54.27°, I = 56, (5 3 1); 2θ = 57.50°, I = 16, (0 4 0); 2θ = 61.60°, I = 18, (10 0 0); 2θ = 67.25°, I = 36, (5 3 3); 2θ = 68.91°, I = 12, (10 2 0)

Structural model:
```
data_V2O3F
_symmetry_space_group_name_H-M 'A m m 2'
_symmetry_Int_Tables_number 38
_cell_length_a 15.055
_cell_length_b 6.411
_cell_length_c 6.943
_cell_angle_alpha 90.00
_cell_angle_beta 90.00
_cell_angle_gamma 90.00
loop_
_symmetry_equiv_pos_as_xyz
'x,y,z'
'-x,-y,z'
'-x,y,z'
'x,-y,z'
'x,y+1/2,z+1/2'
'-x,-y+1/2,z+1/2'
'-x,y+1/2,z+1/2'
'x,-y+1/2,z+1/2'
loop_
_atom_site_label
_atom_site_fract_x
_atom_site_fract_y
_atom_site_fract_z
V1 0.000 0.000 0.000
V2 0.100 0.000 0.451
V3 0.200 0.000 0.901
V4 0.300 0.000 0.449
V5 0.399 0.000 0.995
V6 0.500 0.000 0.445
O1 0.000 0.000 0.257
O2 0.100 0.192 0.951
O3 0.200 0.000 0.645
O4 0.300 0.192 0.949
O5 0.400 0.000 0.253
O6 0.500 0.193 0.955
F1 0.000 0.000 0.650
F2 0.200 0.000 0.252
F3 0.400 0.000 0.649
```